For K2SnH2Cl4O, DFT lattice parameters and positions (PBE) gives the calculated powder diffraction line list in this record (a wavelength of 1.5418 Å).
Peak positions follow from Bragg's law for the DFT cell and can differ from measured ones.

Crystal structure
Lattice parameters (Å, degrees): 12.134 9.142 8.711 90.00 90.00 90.00
Fractional coordinates of all 40 atoms:
K1 0.190 0.019 0.150
K2 0.190 0.481 0.150
K3 0.310 0.519 0.650
K4 0.310 0.981 0.650
K5 0.690 0.019 0.350
K6 0.690 0.481 0.350
K7 0.810 0.519 0.850
K8 0.810 0.981 0.850
Sn1 0.013 0.250 0.498
Sn2 0.487 0.750 0.998
Sn3 0.513 0.250 0.002
Sn4 0.987 0.750 0.502
H1 0.037 0.750 0.926
H2 0.050 0.250 0.942
H3 0.450 0.750 0.442
H4 0.463 0.250 0.426
H5 0.537 0.750 0.574
H6 0.550 0.250 0.558
H7 0.950 0.750 0.058
H8 0.963 0.250 0.074
Cl1 0.051 0.051 0.705
Cl2 0.051 0.449 0.705
Cl3 0.195 0.750 0.411
Cl4 0.232 0.750 0.919
Cl5 0.268 0.250 0.419
Cl6 0.305 0.250 0.911
Cl7 0.449 0.551 0.205
Cl8 0.449 0.949 0.205
Cl9 0.551 0.051 0.795
Cl10 0.551 0.449 0.795
Cl11 0.695 0.750 0.089
Cl12 0.732 0.750 0.581
Cl13 0.768 0.250 0.081
Cl14 0.805 0.250 0.589
Cl15 0.949 0.551 0.295
Cl16 0.949 0.949 0.295
O1 0.043 0.250 0.054
O2 0.457 0.750 0.554
O3 0.543 0.250 0.446
O4 0.957 0.750 0.946

The 6 most intense peaks (10° ≤ 2θ ≤ 80°), in order of falling intensity:
| two_theta | I (rel.) | hkl |
| --- | --- | --- |
| 12.5 | 100 | 1 0 1 |
| 28.3 | 78 | 0 2 2 |
| 23.2 | 50 | 1 2 1 |
| 29.3 | 47 | 1 2 2 |
| 24.3 | 39 | 3 0 1 |
| 43.2 | 34 | 3 2 3 |